This entry pairs a crystal structure of AcY3Tl2 with its theoretical powder X-ray diffraction pattern. Radiation: Cu Kα (λ = 1.5418 Å). Structure: a structure optimized by DFT (GGA-PBE).
Intensities are scaled so that the largest is 1000.

Structure:
```
12
Lattice="8.5148 -2.7518 0.0000 8.5148 2.7518 0.0000 -4.4083 0.0000 8.2881" Properties=species:S:1:pos:R:3 pbc="T T T"
Ac 1.4395 0.0000 1.4960
Ac 11.1818 0.0000 6.7921
Y -2.0769 0.0000 5.9228
Y 5.1226 0.0000 0.1283
Y 4.4815 0.0000 3.9097
Y 8.1398 0.0000 4.3785
Y 7.4986 0.0000 8.1598
Y 14.6982 0.0000 2.3653
Tl 1.0855 0.0000 5.0420
Tl 4.7289 0.0000 6.9154
Tl 7.8923 0.0000 1.3727
Tl 11.5358 0.0000 3.2462
```

Principal peaks in the range 10 to 80 degrees two-theta, by angle:
11.60 deg, rel. 357
24.02 deg, rel. 278
28.72 deg, rel. 180
29.08 deg, rel. 268
29.75 deg, rel. 532
31.04 deg, rel. 1000
32.54 deg, rel. 547
33.04 deg, rel. 442
44.19 deg, rel. 196
57.12 deg, rel. 179